Record 1
This entry pairs a crystal structure of HoB2 with its theoretical powder diffractogram. Radiation: copper Kα. Structure: a cell relaxed with GGA-PBE.
Neutral-atom scattering factors, no anomalous dispersion.

Top 10 peaks for 2θ from 10° to 80°, in order of falling intensity:
39.49 deg, intensity 100, hkl 1 0 1; 31.46 deg, intensity 76, hkl 1 0 0; 23.27 deg, intensity 47, hkl 0 0 1; 58.15 deg, intensity 27, hkl 1 0 2; 61.46 deg, intensity 21, hkl 1 1 1; 56.00 deg, intensity 19, hkl 1 1 0; 70.68 deg, intensity 18, hkl 2 0 1; 76.48 deg, intensity 16, hkl 1 1 2; 47.57 deg, intensity 11, hkl 0 0 2; 65.66 deg, intensity 9, hkl 2 0 0

Structure:
```
data_HoB2
_chemical_formula_sum 'Ho1 B2'
_cell_length_a 3.2840
_cell_length_b 3.2840
_cell_length_c 3.8231
_cell_angle_alpha 90.00
_cell_angle_beta 90.00
_cell_angle_gamma 120.00
_space_group_name_H-M_alt 'P 6/m m m'
_space_group_IT_number 191
_space_group_name_Hall '-P 6 2'
loop_
_atom_site_label
_atom_site_fract_x
_atom_site_fract_y
_atom_site_fract_z
Ho1 0.0000 0.0000 0.0000
B1 0.3333 0.6667 0.5000
```

---

Record 2
This entry pairs a crystal structure of RbErO3 with its theoretical powder diffractogram. Radiation: copper Kα. Structure: a cell relaxed with GGA-PBE.
Neutral-atom scattering factors, no anomalous dispersion.

Top 10 peaks for 2θ from 10° to 80°, in order of falling intensity:
28.24 deg, intensity 100, hkl 1 1 0; 28.85 deg, intensity 95, hkl 1 0 4; 40.82 deg, intensity 60, hkl 0 2 4; 50.38 deg, intensity 41, hkl 2 1 4; 20.08 deg, intensity 38, hkl 0 1 2; 50.00 deg, intensity 21, hkl 3 0 0; 58.42 deg, intensity 20, hkl 2 2 0; 51.49 deg, intensity 19, hkl 0 1 8; 59.77 deg, intensity 19, hkl 2 0 8; 66.45 deg, intensity 18, hkl 1 3 4

Structure:
```
data_RbErO3
_chemical_formula_sum 'Rb6 Er6 O18'
_cell_length_a 6.3191
_cell_length_b 6.3191
_cell_length_c 15.0085
_cell_angle_alpha 90.00
_cell_angle_beta 90.00
_cell_angle_gamma 120.00
_space_group_name_H-M_alt 'R -3 c'
_space_group_IT_number 167
_space_group_name_Hall '-R 3 2"c'
loop_
_atom_site_label
_atom_site_fract_x
_atom_site_fract_y
_atom_site_fract_z
Rb1 0.0000 0.0000 0.2500
Er1 0.0000 0.0000 0.0000
O1 0.0000 0.4887 0.2500
```

---

Record 3
This entry pairs a crystal structure of Hf7B4C4 with its theoretical powder diffractogram. Radiation: copper Kα. Structure: a cell relaxed with GGA-PBE.
Neutral-atom scattering factors, no anomalous dispersion.

Top 10 peaks for 2θ from 10° to 80°, in order of falling intensity:
33.38 deg, intensity 100, hkl 1 0 7; 32.42 deg, intensity 53, hkl 0 1 7; 38.64 deg, intensity 45, hkl 1 1 0; 37.23 deg, intensity 36, hkl 0 0 14; 65.46 deg, intensity 30, hkl 1 2 7; 35.82 deg, intensity 26, hkl 0 1 9; 59.01 deg, intensity 23, hkl 1 1 16; 54.74 deg, intensity 23, hkl 1 1 14; 39.02 deg, intensity 20, hkl 1 1 2; 54.53 deg, intensity 16, hkl 0 2 0

Structure:
```
data_Hf7B4C4
_chemical_formula_sum 'Hf14 B8 C8'
_cell_length_a 3.2286
_cell_length_b 3.3657
_cell_length_c 33.8092
_cell_angle_alpha 90.00
_cell_angle_beta 90.00
_cell_angle_gamma 90.00
_space_group_name_H-M_alt 'I m m m'
_space_group_IT_number 71
_space_group_name_Hall '-I 2 2'
loop_
_atom_site_label
_atom_site_fract_x
_atom_site_fract_y
_atom_site_fract_z
Hf1 0.0000 0.0000 0.0000
Hf2 0.0000 0.5000 0.1496
Hf3 0.0000 0.5000 0.2835
Hf4 0.0000 0.5000 0.4200
B1 0.0000 0.0000 0.4728
B2 0.0000 0.5000 0.0550
C1 0.0000 0.5000 0.2152
C2 0.0000 0.5000 0.3539
```

---

Record 4
This entry pairs a crystal structure of AsPtF6 with its theoretical powder diffractogram. Radiation: copper Kα. Structure: a cell relaxed with GGA-PBE.
Neutral-atom scattering factors, no anomalous dispersion.

Top 10 peaks for 2θ from 10° to 80°, in order of falling intensity:
20.80 deg, intensity 100, hkl 1 1 1; 40.44 deg, intensity 53, hkl 3 1 1; 34.29 deg, intensity 51, hkl 2 2 0; 49.27 deg, intensity 25, hkl 4 0 0; 54.04 deg, intensity 22, hkl 3 3 1; 61.40 deg, intensity 20, hkl 4 2 2; 42.33 deg, intensity 19, hkl 2 2 2; 65.58 deg, intensity 18, hkl 5 1 1; 76.13 deg, intensity 17, hkl 5 3 1; 72.25 deg, intensity 14, hkl 4 4 0

Structure:
```
data_AsPtF6
_chemical_formula_sum 'As4 Pt4 F24'
_cell_length_a 7.3971
_cell_length_b 7.3971
_cell_length_c 7.3971
_cell_angle_alpha 90.00
_cell_angle_beta 90.00
_cell_angle_gamma 90.00
_space_group_name_H-M_alt 'F -4 3 m'
_space_group_IT_number 216
_space_group_name_Hall 'F -4 2 3'
loop_
_atom_site_label
_atom_site_fract_x
_atom_site_fract_y
_atom_site_fract_z
As1 0.0000 0.0000 0.0000
Pt1 0.2500 0.2500 0.2500
F1 0.0000 0.0000 0.2393
```